Li2VSi6O15: computed powder X-ray diffraction pattern (Cu Kα (λ = 1.5418 Å)), based on a DFT-relaxed cell (PBE+U, the Materials Project).
Kinematic intensities with the Lorentz-polarization factor, no thermal factor.

Main lines, in order of rising 2θ (2θ from 10° to 90°):
14.2°, intensity 100; 14.6°, intensity 72; 17.3°, intensity 26; 20.0°, intensity 51; 21.4°, intensity 38; 24.3°, intensity 19; 26.9°, intensity 17; 27.5°, intensity 17; 28.7°, intensity 19; 29.4°, intensity 16

Structure:
Cell: 7.441 7.441 15.296 Å, 104.59 104.59 58.23°
Fractional positions:
Li: 0.155 0.845 0.500
Li: 0.343 0.874 0.918
Li: 0.845 0.155 0.000
Li: 0.874 0.343 0.418
V: 0.424 0.879 0.437
V: 0.879 0.424 0.937
Si: 0.031 0.840 0.294
Si: 0.111 0.270 0.591
Si: 0.126 0.158 0.275
Si: 0.158 0.126 0.775
Si: 0.194 0.546 0.104
Si: 0.270 0.111 0.091
Si: 0.546 0.194 0.604
Si: 0.559 0.638 0.101
Si: 0.636 0.786 0.807
Si: 0.638 0.559 0.601
Si: 0.786 0.636 0.307
Si: 0.840 0.031 0.794
O: 0.012 0.562 0.016
O: 0.017 0.354 0.833
O: 0.020 0.412 0.318
O: 0.084 0.696 0.194
O: 0.091 0.951 0.785
O: 0.125 0.128 0.991
O: 0.125 0.139 0.667
O: 0.128 0.125 0.491
O: 0.139 0.125 0.167
O: 0.230 0.765 0.376
O: 0.296 0.340 0.623
O: 0.338 0.627 0.080
O: 0.340 0.296 0.123
O: 0.354 0.017 0.333
O: 0.412 0.020 0.818
O: 0.454 0.725 0.535
O: 0.488 0.877 0.082
O: 0.562 0.012 0.516
O: 0.612 0.656 0.707
O: 0.627 0.338 0.580
O: 0.641 0.676 0.888
O: 0.656 0.612 0.207
O: 0.676 0.641 0.388
O: 0.696 0.084 0.694
O: 0.725 0.454 0.035
O: 0.765 0.230 0.876
O: 0.831 0.837 0.821
O: 0.837 0.831 0.321
O: 0.877 0.488 0.582
O: 0.951 0.091 0.285